Computed PXRD pattern of K3NaSi3Sn2O12 for Cu Kα (λ = 1.5418 Å), from the GGA-PBE geometry in the Materials Project.
Lines closer than 0.1° are merged.

Crystal structure
a = 9.281 Å, b = 9.281 Å, c = 9.281 Å
α = 60.57°, β = 60.57°, γ = 60.57°
Fractional coordinates of all 42 atoms:
K1 0.101 0.750 0.399
K2 0.250 0.601 0.899
K3 0.399 0.101 0.750
K4 0.601 0.899 0.250
K5 0.750 0.399 0.101
K6 0.899 0.250 0.601
Na1 0.000 0.000 0.000
Na2 0.500 0.500 0.500
Si1 0.046 0.454 0.750
Si2 0.250 0.954 0.546
Si3 0.454 0.750 0.046
Si4 0.546 0.250 0.954
Si5 0.750 0.046 0.454
Si6 0.954 0.546 0.250
Sn1 0.149 0.149 0.149
Sn2 0.351 0.351 0.351
Sn3 0.649 0.649 0.649
Sn4 0.851 0.851 0.851
O1 0.017 0.632 0.773
O2 0.073 0.273 0.921
O3 0.079 0.927 0.727
O4 0.132 0.517 0.273
O5 0.227 0.427 0.579
O6 0.227 0.983 0.368
O7 0.273 0.132 0.517
O8 0.273 0.921 0.073
O9 0.368 0.227 0.983
O10 0.421 0.773 0.573
O11 0.427 0.579 0.227
O12 0.483 0.727 0.868
O13 0.517 0.273 0.132
O14 0.573 0.421 0.773
O15 0.579 0.227 0.427
O16 0.632 0.773 0.017
O17 0.727 0.079 0.927
O18 0.727 0.868 0.483
O19 0.773 0.017 0.632
O20 0.773 0.573 0.421
O21 0.868 0.483 0.727
O22 0.921 0.073 0.273
O23 0.927 0.727 0.079
O24 0.983 0.368 0.227

Largest 8 diffraction maxima, low angle first, 2θ from 15° to 90°:
2θ 18.96, d = 4.681 Å, I = 47
2θ 19.13, d = 4.640 Å, I = 64
2θ 27.06, d = 3.295 Å, I = 32
2θ 30.43, d = 2.937 Å, I = 100
2θ 33.17, d = 2.701 Å, I = 82
2θ 45.62, d = 1.989 Å, I = 38
2θ 51.69, d = 1.768 Å, I = 23
2θ 57.54, d = 1.602 Å, I = 29